The following is a computed X-ray powder pattern of Co4SnN4. It was derived from the GGA-PBE geometry in Alexandria, using a wavelength of 1.5418 Å.

Most intense lines, 2θ = 10–90°, sorted by position:
2θ/deg	Rel. int.
26.88	100
27.56	17
34.35	18
34.59	13
38.04	50
41.05	42
41.52	17
41.79	26
42.11	32
47.09	35
47.72	14
52.37	28

Cell and atoms:
abc: 5.423 5.561 7.278
angles: 94.98 103.53 104.65
Space group P-1 (No. 2)
Unique sites:
Co 0.109 0.367 0.435 [2 per cell]
Co 0.169 0.431 0.097 [2 per cell]
Co 0.192 0.935 0.106 [2 per cell]
Co 0.386 0.705 0.740 [2 per cell]
Sn 0.381 0.196 0.707 [2 per cell]
N 0.171 0.162 0.929 [2 per cell]
N 0.204 0.712 0.501 [2 per cell]
N 0.205 0.669 0.929 [2 per cell]
N 0.280 0.229 0.290 [2 per cell]

***

The following is a computed X-ray powder pattern of AcBiAuO4. It was derived from the GGA-PBE geometry in Alexandria, using a wavelength of 1.5418 Å.

Most intense lines, 2θ = 10–90°, sorted by position:
2θ/deg	Rel. int.
26.97	74
28.20	100
28.54	81
28.71	48
30.88	36
39.80	57
46.33	20
47.47	20
48.41	24
48.63	19
55.44	21
56.33	26

Cell and atoms:
abc: 6.611 10.648 7.661
angles: 90.00 90.00 90.00
Space group Cmcm (No. 63)
Unique sites:
Ac 0.000 0.000 0.000 [4 per cell]
Bi 0.000 0.357 0.250 [4 per cell]
Au 0.000 0.277 0.750 [4 per cell]
O 0.000 0.240 0.011 [8 per cell]
O 0.249 0.014 0.750 [8 per cell]